# UCoNiGe2
Theoretical powder diffraction line list, Cu Kα X-rays. Input: a crystal structure in Alexandria, relaxed with GGA-PBE.
Peak positions follow from Bragg's law for the DFT cell and can differ from measured ones.

Top 10 peaks for 2θ from 15° to 90°, by angle:
Position (°2θ)  d_spacing  Rel. int.
23.86  3.729  32
31.25  2.862  27
35.80  2.508  73
36.57  2.457  100
44.78  2.024  50
52.82  1.733  28
58.61  1.575  36
65.19  1.431  16
71.70  1.316  23
77.13  1.237  23

```
data_UCoNiGe2
_chemical_formula_sum 'U2 Co2 Ni2 Ge4'
_cell_length_a 4.048
_cell_length_b 4.048
_cell_length_c 9.589
_cell_angle_alpha 90.00
_cell_angle_beta 90.00
_cell_angle_gamma 90.00
_symmetry_space_group_name_H-M 'P 1'
_symmetry_Int_Tables_number 1
loop_
_symmetry_equiv_pos_as_xyz
'x,y,z'
loop_
_atom_site_label
_atom_site_type_symbol
_atom_site_fract_x
_atom_site_fract_y
_atom_site_fract_z
U1 U 0.250 0.250 0.250
U2 U 0.750 0.750 0.750
Co1 Co 0.250 0.250 0.629
Co2 Co 0.750 0.750 0.371
Ni1 Ni 0.250 0.750 0.000
Ni2 Ni 0.750 0.250 0.000
Ge1 Ge 0.250 0.250 0.868
Ge2 Ge 0.250 0.750 0.500
Ge3 Ge 0.750 0.250 0.500
Ge4 Ge 0.750 0.750 0.132
```


# Y2Co3Ni12Ge
Theoretical powder diffraction line list, Cu Kα X-rays. Input: a crystal structure in Alexandria, relaxed with GGA-PBE.
Peak positions follow from Bragg's law for the DFT cell and can differ from measured ones.

Top 10 peaks for 2θ from 15° to 90°, by angle:
Position (°2θ)  d_spacing  Rel. int.
31.06  2.880  12
36.43  2.466  17
39.09  2.304  11
43.85  2.065  100
44.17  2.050  17
45.37  1.999  67
64.93  1.436  16
80.59  1.192  10
81.67  1.179  13
84.90  1.142  9

```
data_Y2Co3Ni12Ge
_chemical_formula_sum 'Y2 Co3 Ni12 Ge1'
_cell_length_a 6.235
_cell_length_b 6.235
_cell_length_c 6.235
_cell_angle_alpha 82.95
_cell_angle_beta 82.95
_cell_angle_gamma 82.95
_symmetry_space_group_name_H-M 'P 1'
_symmetry_Int_Tables_number 1
loop_
_symmetry_equiv_pos_as_xyz
'x,y,z'
loop_
_atom_site_label
_atom_site_type_symbol
_atom_site_fract_x
_atom_site_fract_y
_atom_site_fract_z
Y1 Y 0.226 0.226 0.226
Y2 Y 0.774 0.774 0.774
Co1 Co 0.000 0.500 0.500
Co2 Co 0.500 0.000 0.500
Co3 Co 0.500 0.500 0.000
Ni1 Ni 0.079 0.079 0.649
Ni2 Ni 0.079 0.649 0.079
Ni3 Ni 0.231 0.699 0.699
Ni4 Ni 0.301 0.301 0.769
Ni5 Ni 0.301 0.769 0.301
Ni6 Ni 0.351 0.921 0.921
Ni7 Ni 0.649 0.079 0.079
Ni8 Ni 0.699 0.231 0.699
Ni9 Ni 0.699 0.699 0.231
Ni10 Ni 0.769 0.301 0.301
Ni11 Ni 0.921 0.351 0.921
Ni12 Ni 0.921 0.921 0.351
Ge1 Ge 0.500 0.500 0.500
```


# Np2CoGe3
Theoretical powder diffraction line list, Cu Kα X-rays. Input: a crystal structure in Alexandria, relaxed with GGA-PBE.
Peak positions follow from Bragg's law for the DFT cell and can differ from measured ones.

Top 10 peaks for 2θ from 15° to 90°, by angle:
Position (°2θ)  d_spacing  Rel. int.
24.27  3.667  33
24.94  3.570  14
34.02  2.635  100
34.52  2.598  49
42.29  2.137  22
43.52  2.080  38
48.03  1.894  15
55.69  1.651  25
66.80  1.400  21
72.04  1.311  12

```
data_Np2CoGe3
_chemical_formula_sum 'Np2 Co1 Ge3'
_cell_length_a 3.789
_cell_length_b 4.274
_cell_length_c 7.141
_cell_angle_alpha 90.00
_cell_angle_beta 90.00
_cell_angle_gamma 90.00
_symmetry_space_group_name_H-M 'P 1'
_symmetry_Int_Tables_number 1
loop_
_symmetry_equiv_pos_as_xyz
'x,y,z'
loop_
_atom_site_label
_atom_site_type_symbol
_atom_site_fract_x
_atom_site_fract_y
_atom_site_fract_z
Np1 Np 0.000 0.000 0.000
Np2 Np 0.000 0.500 0.479
Co1 Co 0.500 0.000 0.303
Ge1 Ge 0.500 0.000 0.635
Ge2 Ge 0.500 0.500 0.163
Ge3 Ge 0.500 0.500 0.816
```


# Np3Co6Ge5
Theoretical powder diffraction line list, Cu Kα X-rays. Input: a crystal structure in Alexandria, relaxed with GGA-PBE.
Peak positions follow from Bragg's law for the DFT cell and can differ from measured ones.

Top 10 peaks for 2θ from 15° to 90°, by angle:
Position (°2θ)  d_spacing  Rel. int.
24.37  3.652  25
24.49  3.634  29
32.09  2.789  34
36.37  2.470  78
37.39  2.405  100
45.88  1.978  27
46.16  1.967  17
53.52  1.712  25
59.94  1.543  17
60.11  1.539  16

```
data_Np3Co6Ge5
_chemical_formula_sum 'Np6 Co12 Ge10'
_cell_length_a 3.956
_cell_length_b 11.800
_cell_length_c 9.504
_cell_angle_alpha 90.00
_cell_angle_beta 90.00
_cell_angle_gamma 90.00
_symmetry_space_group_name_H-M 'P 1'
_symmetry_Int_Tables_number 1
loop_
_symmetry_equiv_pos_as_xyz
'x,y,z'
loop_
_atom_site_label
_atom_site_type_symbol
_atom_site_fract_x
_atom_site_fract_y
_atom_site_fract_z
Np1 Np 0.250 0.087 0.237
Np2 Np 0.250 0.413 0.237
Np3 Np 0.250 0.750 0.263
Np4 Np 0.750 0.250 0.737
Np5 Np 0.750 0.587 0.763
Np6 Np 0.750 0.913 0.763
Co1 Co 0.250 0.049 0.895
Co2 Co 0.250 0.250 0.511
Co3 Co 0.250 0.250 0.984
Co4 Co 0.250 0.451 0.895
Co5 Co 0.250 0.582 0.493
Co6 Co 0.250 0.918 0.493
Co7 Co 0.750 0.082 0.507
Co8 Co 0.750 0.418 0.507
Co9 Co 0.750 0.549 0.105
Co10 Co 0.750 0.750 0.016
Co11 Co 0.750 0.750 0.489
Co12 Co 0.750 0.951 0.105
Ge1 Ge 0.250 0.076 0.644
Ge2 Ge 0.250 0.424 0.644
Ge3 Ge 0.250 0.631 0.995
Ge4 Ge 0.250 0.750 0.633
Ge5 Ge 0.250 0.869 0.995
Ge6 Ge 0.750 0.131 0.005
Ge7 Ge 0.750 0.250 0.367
Ge8 Ge 0.750 0.369 0.005
Ge9 Ge 0.750 0.576 0.356
Ge10 Ge 0.750 0.924 0.356
```